(1)
Simulated PXRD pattern
Compound: Cs2AlFeSe4
Radiation: Cu Kα
Structure: a crystal structure in OQMD, relaxed with GGA-PBE
Neutral-atom scattering factors, no anomalous dispersion.

Structure:
Unit cell a=7.9446 b=12.9100 c=5.9828 alpha=90.00 beta=112.07 gamma=90.00
Space group C2 (No. 5)
Symmetry-distinct sites (fractional):
1 Cs 0.0000 0.0000 0.0000 x2
2 Cs 0.0000 0.2851 0.5000 x2
3 Al 0.0000 0.6452 0.5000 x2
4 Fe 0.0000 0.6398 0.0000 x2
5 Se 0.1835 0.5398 0.3474 x4
6 Se 0.1837 0.7456 0.8448 x4

Largest 10 diffraction maxima, by angle, 5° ≤ 2θ ≤ 70°:
23.95 deg, rel. 33, hkl 1 3 0
24.44 deg, rel. 64, hkl 1 1 1
27.27 deg, rel. 100, hkl 2 2 -1
27.64 deg, rel. 27, hkl 0 4 0
30.68 deg, rel. 25, hkl 1 1 -2
31.42 deg, rel. 36, hkl 1 3 1
36.58 deg, rel. 28, hkl 1 3 -2
42.38 deg, rel. 25, hkl 3 3 0
47.95 deg, rel. 28, hkl 4 0 -2
51.41 deg, rel. 27, hkl 0 2 3

(2)
Simulated PXRD pattern
Compound: CsAlIr2O8
Radiation: Cu Kα
Structure: a crystal structure in OQMD, relaxed with GGA-PBE
Neutral-atom scattering factors, no anomalous dispersion.

Structure:
Unit cell a=5.5303 b=5.5303 c=7.7286 alpha=90.00 beta=90.00 gamma=120.00
Space group P-3m1 (No. 164)
Symmetry-distinct sites (fractional):
1 Cs 0.0000 0.0000 0.0000 x1
2 Al 0.0000 0.0000 0.5000 x1
3 Ir 0.3333 0.6667 0.7298 x2
4 O 0.1545 0.3089 0.6465 x6
5 O 0.3333 0.6667 0.9608 x2

Largest 10 diffraction maxima, by angle, 5° ≤ 2θ ≤ 70°:
21.83 deg, rel. 100, hkl 1 0 1
29.71 deg, rel. 39, hkl 0 1 2
32.38 deg, rel. 41, hkl 1 1 0
39.39 deg, rel. 15, hkl 0 2 1
39.73 deg, rel. 13, hkl 0 1 3
44.51 deg, rel. 13, hkl 0 2 2
51.88 deg, rel. 21, hkl 2 1 1
56.10 deg, rel. 14, hkl 1 2 2
57.75 deg, rel. 8, hkl 3 0 0
58.25 deg, rel. 15, hkl 1 1 4

(3)
Simulated PXRD pattern
Compound: AlCu
Radiation: Cu Kα
Structure: a crystal structure in OQMD, relaxed with GGA-PBE
Neutral-atom scattering factors, no anomalous dispersion.

Structure:
Unit cell a=5.0247 b=5.0247 c=4.1635 alpha=90.00 beta=90.00 gamma=120.00
Space group P6/mmm (No. 191)
Symmetry-distinct sites (fractional):
1 Al 0.0000 0.0000 0.0000 x1
2 Al 0.3333 0.6667 0.5000 x2
3 Cu 0.0000 0.5000 0.0000 x3

Largest 10 diffraction maxima, by angle, 5° ≤ 2θ ≤ 70°:
20.41 deg, rel. 33, hkl 1 0 0
21.34 deg, rel. 67, hkl 0 0 1
41.50 deg, rel. 46, hkl 2 0 0
42.00 deg, rel. 19, hkl 1 1 1
43.47 deg, rel. 26, hkl 0 0 2
47.13 deg, rel. 100, hkl 2 0 1
48.47 deg, rel. 6, hkl 1 0 2
55.90 deg, rel. 4, hkl 2 1 0
61.66 deg, rel. 26, hkl 2 0 2
68.50 deg, rel. 4, hkl 3 0 1

(4)
Simulated PXRD pattern
Compound: Al4Cu3
Radiation: Cu Kα
Structure: a crystal structure in OQMD, relaxed with GGA-PBE
Neutral-atom scattering factors, no anomalous dispersion.

Structure:
Unit cell a=11.7113 b=11.7113 c=11.7113 alpha=90.00 beta=90.00 gamma=90.00
Space group Ia-3d (No. 230)
Symmetry-distinct sites (fractional):
1 Al 0.0000 0.0000 0.0000 x16
2 Al 0.0000 0.2500 0.0099 x48
3 Cu 0.1224 0.1250 0.8724 x48

Largest 10 diffraction maxima, by angle, 5° ≤ 2θ ≤ 70°:
18.56 deg, rel. 21, hkl 2 1 1
28.52 deg, rel. 17, hkl 3 2 1
30.53 deg, rel. 14, hkl 4 0 0
42.27 deg, rel. 9, hkl 5 2 1
43.72 deg, rel. 100, hkl 4 4 0
47.88 deg, rel. 7, hkl 6 1 1
54.27 deg, rel. 3, hkl 4 4 4
57.86 deg, rel. 4, hkl 5 5 2
63.55 deg, rel. 15, hkl 8 0 0
66.84 deg, rel. 2, hkl 6 5 3

(5)
Simulated PXRD pattern
Compound: AlCu4
Radiation: Cu Kα
Structure: a crystal structure in OQMD, relaxed with GGA-PBE
Neutral-atom scattering factors, no anomalous dispersion.

Structure:
Unit cell a=6.2819 b=6.2819 c=6.2819 alpha=90.00 beta=90.00 gamma=90.00
Space group P2_13 (No. 198)
Symmetry-distinct sites (fractional):
1 Al 0.0603 0.0603 0.0603 x4
2 Cu 0.0473 0.8752 0.7013 x12
3 Cu 0.1911 0.8089 0.3089 x4

Largest 10 diffraction maxima, by angle, 5° ≤ 2θ ≤ 70°:
24.54 deg, rel. 5, hkl 1 1 1
28.42 deg, rel. 3, hkl 2 0 0
31.85 deg, rel. 13, hkl 2 0 1
34.99 deg, rel. 6, hkl 2 1 1
43.20 deg, rel. 100, hkl 2 2 1
45.67 deg, rel. 59, hkl 3 0 1
48.04 deg, rel. 27, hkl 3 1 1
54.67 deg, rel. 6, hkl 3 1 2
62.75 deg, rel. 8, hkl 4 1 1
66.57 deg, rel. 6, hkl 4 0 2

(6)
Simulated PXRD pattern
Compound: Dy6Al7Cu16
Radiation: Cu Kα
Structure: a crystal structure in OQMD, relaxed with GGA-PBE
Neutral-atom scattering factors, no anomalous dispersion.

Structure:
Unit cell a=12.2912 b=12.2912 c=12.2912 alpha=90.00 beta=90.00 gamma=90.00
Space group Fm-3m (No. 225)
Symmetry-distinct sites (fractional):
1 Dy 0.0000 0.0000 0.2126 x24
2 Al 0.0000 0.0000 0.5000 x4
3 Al 0.0000 0.2500 0.2500 x24
4 Cu 0.1216 0.1216 0.3784 x32
5 Cu 0.1732 0.1732 0.1732 x32

Largest 10 diffraction maxima, by angle, 5° ≤ 2θ ≤ 70°:
25.10 deg, rel. 65, hkl 2 2 2
31.73 deg, rel. 15, hkl 3 3 1
35.79 deg, rel. 30, hkl 4 2 2
38.04 deg, rel. 99, hkl 3 3 3
41.56 deg, rel. 100, hkl 4 4 0
44.21 deg, rel. 20, hkl 6 0 0
53.22 deg, rel. 16, hkl 5 5 1
61.78 deg, rel. 17, hkl 7 3 3
64.31 deg, rel. 22, hkl 8 2 2
65.80 deg, rel. 15, hkl 5 5 5

(7)
Simulated PXRD pattern
Compound: Gd2DyAl7Cu2
Radiation: Cu Kα
Structure: a crystal structure in OQMD, relaxed with GGA-PBE
Neutral-atom scattering factors, no anomalous dispersion.

Structure:
Unit cell a=5.5035 b=5.5035 c=25.5130 alpha=90.00 beta=90.00 gamma=120.00
Space group R-3m (No. 166, hexagonal axes)
Symmetry-distinct sites (fractional):
1 Gd 0.0000 0.0000 0.1418 x6
2 Dy 0.0000 0.0000 0.0000 x3
3 Al 0.0000 0.0000 0.5000 x3
4 Al 0.0063 0.5031 0.9216 x18
5 Cu 0.0000 0.0000 0.3354 x6

Largest 10 diffraction maxima, by angle, 5° ≤ 2θ ≤ 70°:
18.94 deg, rel. 42, hkl 1 0 1
20.89 deg, rel. 31, hkl 0 0 6
30.89 deg, rel. 51, hkl 1 0 7
32.54 deg, rel. 88, hkl 1 1 0
33.82 deg, rel. 33, hkl 0 1 8
37.92 deg, rel. 27, hkl 0 2 1
38.99 deg, rel. 100, hkl 1 1 6
62.40 deg, rel. 25, hkl 3 0 6
64.38 deg, rel. 27, hkl 2 0 14
68.15 deg, rel. 19, hkl 2 2 0

(8)
Simulated PXRD pattern
Compound: GdDy2Al7Cu2
Radiation: Cu Kα
Structure: a crystal structure in OQMD, relaxed with GGA-PBE
Neutral-atom scattering factors, no anomalous dispersion.

Structure:
Unit cell a=5.4902 b=5.4902 c=25.4774 alpha=90.00 beta=90.00 gamma=120.00
Space group R-3m (No. 166, hexagonal axes)
Symmetry-distinct sites (fractional):
1 Gd 0.0000 0.0000 0.0000 x3
2 Dy 0.0000 0.0000 0.1419 x6
3 Al 0.0000 0.0000 0.5000 x3
4 Al 0.0062 0.5031 0.9213 x18
5 Cu 0.0000 0.0000 0.3353 x6

Largest 10 diffraction maxima, by angle, 5° ≤ 2θ ≤ 70°:
18.99 deg, rel. 42, hkl 1 0 1
20.92 deg, rel. 31, hkl 0 0 6
30.94 deg, rel. 52, hkl 1 0 7
32.62 deg, rel. 89, hkl 1 1 0
33.88 deg, rel. 33, hkl 0 1 8
38.01 deg, rel. 27, hkl 0 2 1
39.07 deg, rel. 100, hkl 1 1 6
62.56 deg, rel. 25, hkl 3 0 6
64.50 deg, rel. 27, hkl 2 0 14
68.34 deg, rel. 19, hkl 2 2 0

(9)
Simulated PXRD pattern
Compound: Tb2DyAl3CuGe2
Radiation: Cu Kα
Structure: a crystal structure in OQMD, relaxed with GGA-PBE
Neutral-atom scattering factors, no anomalous dispersion.

Structure:
Unit cell a=4.1784 b=12.1664 c=7.0252 alpha=90.00 beta=90.00 gamma=90.00
Space group Amm2 (No. 38)
Symmetry-distinct sites (fractional):
1 Tb 0.0000 0.2015 0.0000 x4
2 Dy 0.0000 0.0000 0.6045 x2
3 Al 0.5000 0.0000 0.9693 x2
4 Al 0.5000 0.1161 0.3176 x4
5 Cu 0.0000 0.0000 0.2017 x2
6 Ge 0.5000 0.1666 0.7015 x4

Largest 10 diffraction maxima, by angle, 5° ≤ 2θ ≤ 70°:
21.26 deg, rel. 23, hkl 1 0 0
25.36 deg, rel. 37, hkl 0 0 2
29.36 deg, rel. 18, hkl 0 4 0
33.32 deg, rel. 100, hkl 1 3 1
36.54 deg, rel. 70, hkl 1 4 0
39.18 deg, rel. 23, hkl 0 1 3
43.31 deg, rel. 23, hkl 2 0 0
44.69 deg, rel. 23, hkl 0 6 0
54.37 deg, rel. 18, hkl 0 7 1
59.04 deg, rel. 25, hkl 1 5 3

(10)
Simulated PXRD pattern
Compound: DyHoAl4Cu2
Radiation: Cu Kα
Structure: a crystal structure in OQMD, relaxed with GGA-PBE
Neutral-atom scattering factors, no anomalous dispersion.

Structure:
Unit cell a=6.7792 b=4.2153 c=10.0752 alpha=90.00 beta=90.00 gamma=90.00
Space group Amm2 (No. 38)
Symmetry-distinct sites (fractional):
1 Dy 0.0000 0.0000 0.0000 x2
2 Ho 0.5000 0.0000 0.1451 x2
3 Al 0.1970 0.0000 0.7113 x4
4 Al 0.3034 0.0000 0.4336 x4
5 Cu 0.0000 0.0000 0.2838 x2
6 Cu 0.5000 0.0000 0.8613 x2

Largest 10 diffraction maxima, by angle, 5° ≤ 2θ ≤ 70°:
21.98 deg, rel. 23, hkl 1 0 2
22.87 deg, rel. 55, hkl 0 1 1
26.29 deg, rel. 44, hkl 2 0 0
35.12 deg, rel. 84, hkl 2 1 1
36.69 deg, rel. 100, hkl 1 1 3
38.11 deg, rel. 45, hkl 1 0 4
42.91 deg, rel. 27, hkl 0 2 0
53.49 deg, rel. 25, hkl 3 1 3
54.58 deg, rel. 16, hkl 3 0 4
58.72 deg, rel. 25, hkl 1 2 4

(11)
Simulated PXRD pattern
Compound: Dy3Al3CuNi2
Radiation: Cu Kα
Structure: a crystal structure in OQMD, relaxed with GGA-PBE
Neutral-atom scattering factors, no anomalous dispersion.

Structure:
Unit cell a=6.9552 b=6.9552 c=3.9364 alpha=90.00 beta=90.00 gamma=120.00
Space group P-62m (No. 189)
Symmetry-distinct sites (fractional):
1 Dy 0.0000 0.4183 0.0000 x3
2 Al 0.0000 0.7607 0.5000 x3
3 Cu 0.0000 0.0000 0.0000 x1
4 Ni 0.3333 0.6667 0.5000 x2

Largest 10 diffraction maxima, by angle, 5° ≤ 2θ ≤ 70°:
22.59 deg, rel. 29, hkl 0 0 1
25.62 deg, rel. 34, hkl 1 1 0
29.66 deg, rel. 36, hkl 2 0 0
34.41 deg, rel. 93, hkl 1 1 1
37.60 deg, rel. 100, hkl 2 0 1
39.59 deg, rel. 30, hkl 2 1 0
45.16 deg, rel. 17, hkl 3 0 0
46.09 deg, rel. 40, hkl 0 0 2
54.96 deg, rel. 25, hkl 3 1 0
60.17 deg, rel. 35, hkl 3 1 1

(12)
Simulated PXRD pattern
Compound: PrDy2Al3Cu2Ni
Radiation: Cu Kα
Structure: a crystal structure in OQMD, relaxed with GGA-PBE
Neutral-atom scattering factors, no anomalous dispersion.

Structure:
Unit cell a=4.0435 b=12.1385 c=7.1010 alpha=90.00 beta=90.00 gamma=90.00
Space group Amm2 (No. 38)
Symmetry-distinct sites (fractional):
1 Pr 0.0000 0.0000 0.0000 x2
2 Dy 0.0000 0.2059 0.6189 x4
3 Al 0.5000 0.0000 0.6400 x2
4 Al 0.5000 0.1156 0.3032 x4
5 Cu 0.5000 0.1716 0.9118 x4
6 Ni 0.0000 0.0000 0.4206 x2

Largest 10 diffraction maxima, by angle, 5° ≤ 2θ ≤ 70°:
21.98 deg, rel. 39, hkl 1 0 0
25.08 deg, rel. 20, hkl 0 0 2
25.33 deg, rel. 38, hkl 0 3 1
29.14 deg, rel. 28, hkl 0 2 2
33.59 deg, rel. 56, hkl 1 0 2
33.79 deg, rel. 100, hkl 1 3 1
36.80 deg, rel. 97, hkl 1 2 2
37.04 deg, rel. 41, hkl 1 4 0
44.34 deg, rel. 20, hkl 0 3 3
44.82 deg, rel. 45, hkl 2 0 0